# 1
Structure and theoretical powder XRD pattern of CeDy3 (a PBE-relaxed structure; Cu Kα (weighted mean of Kα1 and Kα2)).
Neutral-atom scattering factors, no anomalous dispersion.

Atomic structure:
Lattice parameters (Å, degrees): 7.9902 7.9902 7.9902 90.00 90.00 90.00
Element x y z (fractional)
Ce 0.0000 0.0000 0.0000
Ce 0.0000 0.5000 0.5000
Ce 0.5000 0.0000 0.5000
Ce 0.5000 0.5000 0.0000
Dy 0.0000 0.0000 0.5000
Dy 0.0000 0.5000 0.0000
Dy 0.2500 0.2500 0.2500
Dy 0.2500 0.2500 0.7500
Dy 0.2500 0.7500 0.2500
Dy 0.2500 0.7500 0.7500
Dy 0.5000 0.0000 0.0000
Dy 0.5000 0.5000 0.5000
Dy 0.7500 0.2500 0.2500
Dy 0.7500 0.2500 0.7500
Dy 0.7500 0.7500 0.2500
Dy 0.7500 0.7500 0.7500

Principal peaks in the range 15 to 90 degrees two-theta, by intensity:
31.7°, I 100, hkl 2 2 0
56.4°, I 39, hkl 4 2 2
45.4°, I 19, hkl 4 0 0
75.2°, I 17, hkl 6 2 0
66.2°, I 12, hkl 4 4 0
83.9°, I 4, hkl 4 4 4

# 2
Structure and theoretical powder XRD pattern of CeDy3 (a PBE-relaxed structure; Cu Kα (weighted mean of Kα1 and Kα2)).
Neutral-atom scattering factors, no anomalous dispersion.

Atomic structure:
Lattice parameters (Å, degrees): 3.5716 5.6980 6.1968 90.00 90.00 90.00
Element x y z (fractional)
Ce 0.0000 0.0000 0.0000
Dy 0.0000 0.5000 0.3327
Dy 0.5000 0.0000 0.5065
Dy 0.5000 0.5000 0.8391

Principal peaks in the range 15 to 90 degrees two-theta, by intensity:
32.9°, I 100, hkl 0 1 2
31.4°, I 25, hkl 0 2 0
28.8°, I 24, hkl 1 0 1
61.2°, I 22, hkl 2 2 0
56.9°, I 21, hkl 0 3 2
51.1°, I 19, hkl 2 0 0
62.1°, I 16, hkl 2 1 2
43.2°, I 16, hkl 1 2 1
84.5°, I 9, hkl 1 1 5
87.6°, I 9, hkl 2 4 0